Entry 1:
The following is a computed powder X-ray diffraction pattern of GaAsW. It was derived from the PBE geometry in Alexandria, using Cu Kα (λ = 1.5418 Å).
Lines closer than 0.1° are merged.

Crystal structure
Unit cell a=3.501 b=3.501 c=7.879 alpha=90.00 beta=90.00 gamma=90.00
Space group P4/nmm (No. 129, origin choice 2)
One atom of each set of equivalent atoms:
Ga (0.250, 0.750, 0.000)
As (0.250, 0.250, 0.392)
W (0.250, 0.250, 0.734)

Peak list (12 most intense, 10 to 80 degrees two-theta, in order of rising 2θ)
index	2θ/deg	I_rel
0 0 2	22.57	17
1 0 1	27.89	93
0 0 3	34.14	21
1 1 0	36.29	47
1 1 1	38.10	55
1 0 3	43.06	100
1 1 2	43.16	93
2 0 0	52.26	53
2 1 1	60.27	22
1 0 5	64.89	16
2 1 3	69.96	48
2 2 0	77.05	17


Entry 2:
The following is a computed powder X-ray diffraction pattern of Y2Ga2As. It was derived from the PBE geometry in Alexandria, using Cu Kα (λ = 1.5418 Å).
Lines closer than 0.1° are merged.

Crystal structure
Unit cell a=7.224 b=7.224 c=4.285 alpha=90.00 beta=90.00 gamma=90.00
Space group P4/mbm (No. 127)
One atom of each set of equivalent atoms:
Y (0.173, 0.327, 0.000)
Ga (0.126, 0.626, 0.500)
As (0.000, 0.000, 0.500)

Peak list (12 most intense, 10 to 80 degrees two-theta, in order of rising 2θ)
index	2θ/deg	I_rel
2 0 1	32.42	34
2 1 1	34.77	100
2 2 0	35.13	8
3 1 0	39.44	35
0 0 2	42.17	21
3 2 0	45.26	6
4 1 1	56.76	10
3 3 1	58.31	6
3 1 2	59.11	21
5 1 1	69.93	9
2 1 3	72.32	11
5 2 1	74.05	9


Entry 3:
The following is a computed powder X-ray diffraction pattern of K3GdAs2S8. It was derived from the PBE geometry in Alexandria, using Cu Kα (λ = 1.5418 Å).
Lines closer than 0.1° are merged.

Crystal structure
Unit cell a=10.520 b=19.375 c=9.092 alpha=90.00 beta=117.83 gamma=90.00
Space group C2/c (No. 15)
One atom of each set of equivalent atoms:
K (0.000, 0.000, 0.000)
K (0.000, 0.245, 0.250)
K (0.000, 0.496, 0.250)
Gd (0.000, 0.257, 0.750)
As (0.218, 0.374, 0.100)
S (0.014, 0.354, 0.527)
S (0.181, 0.179, 0.659)
S (0.201, 0.174, 0.059)
S (0.247, 0.016, 0.873)

Peak list (12 most intense, 10 to 80 degrees two-theta, in order of rising 2θ)
index	2θ/deg	I_rel
1 1 -1	11.61	100
2 2 -1	19.32	15
1 3 1	22.40	20
2 4 0	26.57	28
2 4 -2	28.34	23
0 4 2	28.86	20
1 5 1	29.08	12
1 5 -2	30.31	15
2 6 -2	35.26	16
2 0 2	35.66	21
4 0 0	38.72	13
2 0 -4	39.68	15


Repeat the second record exactly.
The following is a computed powder X-ray diffraction pattern of Y2Ga2As. It was derived from the PBE geometry in Alexandria, using Cu Kα (λ = 1.5418 Å).
Lines closer than 0.1° are merged.

Crystal structure
Unit cell a=7.224 b=7.224 c=4.285 alpha=90.00 beta=90.00 gamma=90.00
Space group P4/mbm (No. 127)
One atom of each set of equivalent atoms:
Y (0.173, 0.327, 0.000)
Ga (0.126, 0.626, 0.500)
As (0.000, 0.000, 0.500)

Peak list (12 most intense, 10 to 80 degrees two-theta, in order of rising 2θ)
index	2θ/deg	I_rel
2 0 1	32.42	34
2 1 1	34.77	100
2 2 0	35.13	8
3 1 0	39.44	35
0 0 2	42.17	21
3 2 0	45.26	6
4 1 1	56.76	10
3 3 1	58.31	6
3 1 2	59.11	21
5 1 1	69.93	9
2 1 3	72.32	11
5 2 1	74.05	9


Please write out number 1 again, unchanged.
The following is a computed powder X-ray diffraction pattern of GaAsW. It was derived from the PBE geometry in Alexandria, using Cu Kα (λ = 1.5418 Å).
Lines closer than 0.1° are merged.

Crystal structure
Unit cell a=3.501 b=3.501 c=7.879 alpha=90.00 beta=90.00 gamma=90.00
Space group P4/nmm (No. 129, origin choice 2)
One atom of each set of equivalent atoms:
Ga (0.250, 0.750, 0.000)
As (0.250, 0.250, 0.392)
W (0.250, 0.250, 0.734)

Peak list (12 most intense, 10 to 80 degrees two-theta, in order of rising 2θ)
index	2θ/deg	I_rel
0 0 2	22.57	17
1 0 1	27.89	93
0 0 3	34.14	21
1 1 0	36.29	47
1 1 1	38.10	55
1 0 3	43.06	100
1 1 2	43.16	93
2 0 0	52.26	53
2 1 1	60.27	22
1 0 5	64.89	16
2 1 3	69.96	48
2 2 0	77.05	17